For Cs2GeAuBr6, DFT lattice parameters and positions (PBE) gives the simulated X-ray powder pattern in this record (Cu Kα (λ = 1.5418 Å)).

The 6 most intense peaks (2θ = 5–70°), low angle first:
2theta, I (rel.)
22.85, 63
28.09, 43
32.54, 100
40.14, 29
46.69, 72
58.06, 25

Structural model:
abc: 7.7824 7.7824 7.7824
angles: 60.00 60.00 60.00
Fractional coordinates of all 10 atoms:
Cs: 0.2500 0.2500 0.2500
Cs: 0.7500 0.7500 0.7500
Ge: 0.0000 0.0000 0.0000
Au: 0.5000 0.5000 0.5000
Br: 0.2456 0.2456 0.7544
Br: 0.2456 0.7544 0.2456
Br: 0.2456 0.7544 0.7544
Br: 0.7544 0.2456 0.2456
Br: 0.7544 0.2456 0.7544
Br: 0.7544 0.7544 0.2456